Simulated powder XRD pattern
Compound: MoIr
Radiation: Cu Kα (weighted mean of Kα1 and Kα2)
Structure: a cell relaxed with PBE

Cell and atoms:
```
data_MoIr
_cell_length_a 2.7921
_cell_length_b 2.7921
_cell_length_c 4.4699
_cell_angle_alpha 90.00
_cell_angle_beta 90.00
_cell_angle_gamma 120.00
_space_group_name_H-M_alt 'P -6 m 2'
_space_group_IT_number 187
_space_group_name_Hall 'P -6 2'
loop_
_atom_site_label
_atom_site_type_symbol
_atom_site_fract_x
_atom_site_fract_y
_atom_site_fract_z
_atom_site_occupancy
Mo1 Mo 0.0000 0.0000 0.0000 1
Ir1 Ir 0.3333 0.6667 0.5000 1
```

Principal peaks in the range 10° ≤ 2θ ≤ 90°, by intensity:
| (hkl) | 2theta | intensity |
| --- | --- | --- |
| 1 0 1 | 42.5 | 100.0 |
| 1 0 0 | 37.2 | 30.5 |
| 0 0 2 | 40.4 | 24.9 |
| 1 1 2 | 81.2 | 19.8 |
| 1 0 2 | 56.0 | 19.0 |
| 1 0 3 | 74.9 | 19.0 |